For AcPr4Dy4, the PBE geometry in Alexandria gives the simulated powder diffraction line list in this record (Cu Kα X-rays).

Most intense lines, 15 to 90 degrees two-theta, in order of rising 2θ:
29.8°, I 100
34.5°, I 51
49.6°, I 36
58.9°, I 29
59.1°, I 15
61.9°, I 12
80.6°, I 6
80.7°, I 12
83.1°, I 11
83.3°, I 6

Cell and atoms:
```
data_AcPr4Dy4
_chemical_formula_sum 'Ac1 Pr4 Dy4'
_cell_length_a 8.217
_cell_length_b 8.217
_cell_length_c 8.217
_cell_angle_alpha 95.71
_cell_angle_beta 95.71
_cell_angle_gamma 143.22
_space_group_name_H-M_alt 'P 1'
_space_group_IT_number 1
loop_
_space_group_symop_operation_xyz
'x,y,z'
loop_
_atom_site_label
_atom_site_type_symbol
_atom_site_fract_x
_atom_site_fract_y
_atom_site_fract_z
Ac1 Ac 0.000 0.000 0.000
Pr1 Pr 0.329 0.329 0.659
Pr2 Pr 0.329 0.671 0.000
Pr3 Pr 0.671 0.329 0.000
Pr4 Pr 0.671 0.671 0.341
Dy1 Dy 0.000 0.339 0.339
Dy2 Dy 0.000 0.661 0.661
Dy3 Dy 0.339 0.000 0.339
Dy4 Dy 0.661 0.000 0.661
```